(1)
# Cs2SrB2O6
Theoretical PXRD pattern, λ = 1.5418 Å (Cu Kα). Input: a crystal structure in Alexandria, relaxed with GGA-PBE.
Neutral-atom scattering factors, no anomalous dispersion.

Structure:
```
Cs2SrB2O6
1.0
2.967 1.713 6.911
-2.967 1.713 6.911
0.000 -3.426 6.911
Cs Sr B O
2 1 2 6
direct
0.211 0.211 0.211
0.789 0.789 0.789
0.000 0.000 0.000
0.405 0.405 0.405
0.595 0.595 0.595
0.272 0.272 0.671
0.272 0.671 0.272
0.329 0.728 0.728
0.671 0.272 0.272
0.728 0.329 0.728
0.728 0.728 0.329
```

Top 10 peaks for 2θ = 15–90°, by angle:
| 2theta | d_spacing | Rel. int. |
| --- | --- | --- |
| 17.8 | 4.988 | 22 |
| 19.3 | 4.604 | 15 |
| 24.4 | 3.649 | 26 |
| 27.6 | 3.227 | 100 |
| 30.1 | 2.967 | 61 |
| 39.1 | 2.302 | 26 |
| 41.3 | 2.184 | 22 |
| 47.3 | 1.923 | 18 |
| 50.1 | 1.819 | 32 |
| 52.0 | 1.759 | 22 |

***

(2)
# Cs2ThB2O6
Theoretical PXRD pattern, λ = 1.5418 Å (Cu Kα). Input: a crystal structure in Alexandria, relaxed with GGA-PBE.
Neutral-atom scattering factors, no anomalous dispersion.

Structure:
```
Cs2ThB2O6
1.0
2.846 1.643 7.131
-2.846 1.643 7.131
0.000 -3.286 7.131
Cs Th B O
2 1 2 6
direct
0.214 0.214 0.214
0.786 0.786 0.786
0.000 0.000 0.000
0.396 0.396 0.396
0.604 0.604 0.604
0.255 0.255 0.679
0.255 0.679 0.255
0.321 0.745 0.745
0.679 0.255 0.255
0.745 0.321 0.745
0.745 0.745 0.321
```

Top 10 peaks for 2θ = 15–90°, by angle:
| 2theta | d_spacing | Rel. int. |
| --- | --- | --- |
| 18.5 | 4.804 | 59 |
| 24.6 | 3.625 | 51 |
| 27.6 | 3.231 | 100 |
| 31.4 | 2.846 | 60 |
| 40.3 | 2.238 | 27 |
| 42.3 | 2.136 | 21 |
| 46.3 | 1.962 | 18 |
| 50.0 | 1.824 | 31 |
| 52.0 | 1.759 | 17 |
| 53.7 | 1.708 | 25 |

***

(3)
# Cs2TlB2O6
Theoretical PXRD pattern, λ = 1.5418 Å (Cu Kα). Input: a crystal structure in Alexandria, relaxed with GGA-PBE.
Neutral-atom scattering factors, no anomalous dispersion.

Structure:
```
Cs2TlB2O6
1.0
4.835 -2.784 0.000
4.835 2.784 0.000
-3.201 0.000 7.175
Cs Tl B O
2 1 2 6
direct
0.211 0.211 0.136
0.789 0.789 0.864
0.000 0.000 0.500
0.395 0.395 0.680
0.605 0.605 0.320
0.255 0.255 0.689
0.256 0.686 0.693
0.314 0.744 0.307
0.686 0.256 0.693
0.744 0.314 0.307
0.745 0.745 0.311
```

Top 10 peaks for 2θ = 15–90°, by angle:
| 2theta | d_spacing | Rel. int. |
| --- | --- | --- |
| 18.8 | 4.711 | 53 |
| 24.8 | 3.594 | 46 |
| 27.8 | 3.213 | 100 |
| 32.1 | 2.787 | 56 |
| 41.0 | 2.200 | 22 |
| 43.0 | 2.106 | 21 |
| 46.2 | 1.966 | 19 |
| 50.2 | 1.819 | 18 |
| 50.3 | 1.814 | 23 |
| 54.7 | 1.678 | 16 |

***

(4)
# CsZn4B3O9
Theoretical PXRD pattern, λ = 1.5418 Å (Cu Kα). Input: a crystal structure in Alexandria, relaxed with GGA-PBE.
Neutral-atom scattering factors, no anomalous dispersion.

Structure:
```
CsZn4B3O9
1.0
7.016 0.000 0.000
0.000 5.074 0.000
-0.829 0.000 13.127
Cs Zn B O
2 8 6 18
direct
0.000 0.244 0.250
0.000 0.756 0.750
0.212 0.334 0.559
0.212 0.666 0.059
0.487 0.145 0.126
0.487 0.855 0.626
0.513 0.145 0.374
0.513 0.855 0.874
0.788 0.334 0.941
0.788 0.666 0.441
0.191 0.150 0.958
0.191 0.850 0.458
0.500 0.351 0.750
0.500 0.649 0.250
0.809 0.150 0.542
0.809 0.850 0.042
0.038 0.238 0.899
0.038 0.762 0.399
0.271 0.102 0.441
0.271 0.898 0.941
0.276 0.297 0.038
0.276 0.703 0.538
0.408 0.214 0.670
0.408 0.786 0.170
0.500 0.374 0.250
0.500 0.626 0.750
0.592 0.214 0.830
0.592 0.786 0.330
0.724 0.297 0.462
0.724 0.703 0.962
0.729 0.102 0.059
0.729 0.898 0.559
0.962 0.238 0.601
0.962 0.762 0.101
```

Top 10 peaks for 2θ = 15–90°, by angle:
| 2theta | d_spacing | Rel. int. |
| --- | --- | --- |
| 18.8 | 4.732 | 42 |
| 19.1 | 4.645 | 26 |
| 26.9 | 3.314 | 29 |
| 28.1 | 3.173 | 55 |
| 29.3 | 3.049 | 100 |
| 29.7 | 3.011 | 34 |
| 30.4 | 2.941 | 65 |
| 31.4 | 2.846 | 42 |
| 35.4 | 2.537 | 27 |
| 35.6 | 2.519 | 25 |

***

Repeat the fourth record exactly.
# CsZn4B3O9
Theoretical PXRD pattern, λ = 1.5418 Å (Cu Kα). Input: a crystal structure in Alexandria, relaxed with GGA-PBE.
Neutral-atom scattering factors, no anomalous dispersion.

Structure:
```
CsZn4B3O9
1.0
7.016 0.000 0.000
0.000 5.074 0.000
-0.829 0.000 13.127
Cs Zn B O
2 8 6 18
direct
0.000 0.244 0.250
0.000 0.756 0.750
0.212 0.334 0.559
0.212 0.666 0.059
0.487 0.145 0.126
0.487 0.855 0.626
0.513 0.145 0.374
0.513 0.855 0.874
0.788 0.334 0.941
0.788 0.666 0.441
0.191 0.150 0.958
0.191 0.850 0.458
0.500 0.351 0.750
0.500 0.649 0.250
0.809 0.150 0.542
0.809 0.850 0.042
0.038 0.238 0.899
0.038 0.762 0.399
0.271 0.102 0.441
0.271 0.898 0.941
0.276 0.297 0.038
0.276 0.703 0.538
0.408 0.214 0.670
0.408 0.786 0.170
0.500 0.374 0.250
0.500 0.626 0.750
0.592 0.214 0.830
0.592 0.786 0.330
0.724 0.297 0.462
0.724 0.703 0.962
0.729 0.102 0.059
0.729 0.898 0.559
0.962 0.238 0.601
0.962 0.762 0.101
```

Top 10 peaks for 2θ = 15–90°, by angle:
| 2theta | d_spacing | Rel. int. |
| --- | --- | --- |
| 18.8 | 4.732 | 42 |
| 19.1 | 4.645 | 26 |
| 26.9 | 3.314 | 29 |
| 28.1 | 3.173 | 55 |
| 29.3 | 3.049 | 100 |
| 29.7 | 3.011 | 34 |
| 30.4 | 2.941 | 65 |
| 31.4 | 2.846 | 42 |
| 35.4 | 2.537 | 27 |
| 35.6 | 2.519 | 25 |